No. 1
# TmHfTc
Calculated powder X-ray diffraction pattern, Cu Ka. Input: the PBE geometry in Alexandria.
Neutral-atom scattering factors, no anomalous dispersion.

The 12 most intense peaks (2θ from 10° to 90°), by angle:
| 2θ (°) | I/Imax |
| --- | --- |
| 27.6 | 19 |
| 31.3 | 14 |
| 35.6 | 100 |
| 37.7 | 56 |
| 48.1 | 14 |
| 49.8 | 15 |
| 54.4 | 19 |
| 63.4 | 10 |
| 66.7 | 32 |
| 75.6 | 7 |
| 78.1 | 8 |
| 88.3 | 9 |

Structural model:
a b c (Å): 6.185 6.185 6.185
angles (deg): 148.36 148.36 45.35
Fractional positions:
Tm  0.000  0.000  0.000
Hf  0.275  0.275  0.000
Tc  0.658  0.658  0.000



No. 2
# KThI5
Calculated powder X-ray diffraction pattern, Cu Ka. Input: the PBE geometry in Alexandria.
Neutral-atom scattering factors, no anomalous dispersion.

The 12 most intense peaks (2θ from 10° to 90°), by angle:
| 2θ (°) | I/Imax |
| --- | --- |
| 11.5 | 100 |
| 13.8 | 43 |
| 15.7 | 35 |
| 17.0 | 53 |
| 22.4 | 56 |
| 23.7 | 29 |
| 26.8 | 42 |
| 28.8 | 29 |
| 29.0 | 47 |
| 33.6 | 25 |
| 34.1 | 27 |
| 39.8 | 37 |

Structural model:
a b c (Å): 8.522 8.522 12.338
angles (deg): 109.61 109.61 69.26
Fractional positions:
K  0.033  0.967  0.750
K  0.967  0.033  0.250
Th  0.500  0.500  0.000
Th  0.500  0.500  0.500
I  0.129  0.717  0.005
I  0.178  0.378  0.377
I  0.283  0.871  0.495
I  0.378  0.178  0.877
I  0.421  0.579  0.750
I  0.579  0.421  0.250
I  0.622  0.822  0.123
I  0.717  0.129  0.505
I  0.822  0.622  0.623
I  0.871  0.283  0.995



No. 3
# Ba2Ru3O10
Calculated powder X-ray diffraction pattern, Cu Ka. Input: the PBE geometry in Alexandria.
Neutral-atom scattering factors, no anomalous dispersion.

The 12 most intense peaks (2θ from 10° to 90°), by angle:
| 2θ (°) | I/Imax |
| --- | --- |
| 27.5 | 67 |
| 27.7 | 79 |
| 27.9 | 100 |
| 28.8 | 90 |
| 30.1 | 40 |
| 42.2 | 53 |
| 43.9 | 26 |
| 50.1 | 23 |
| 50.6 | 22 |
| 52.0 | 32 |
| 52.9 | 22 |
| 56.0 | 23 |

Structural model:
a b c (Å): 9.752 9.752 7.891
angles (deg): 111.49 111.49 35.45
Fractional positions:
Ba  0.111  0.111  0.225
Ba  0.213  0.213  0.802
Ba  0.787  0.787  0.198
Ba  0.889  0.889  0.775
Ru  0.262  0.738  0.500
Ru  0.319  0.319  0.482
Ru  0.418  0.418  0.022
Ru  0.582  0.582  0.978
Ru  0.681  0.681  0.518
Ru  0.738  0.262  0.500
O  0.000  0.500  0.500
O  0.020  0.020  0.660
O  0.120  0.598  0.037
O  0.159  0.625  0.482
O  0.269  0.269  0.232
O  0.293  0.707  0.000
O  0.366  0.366  0.758
O  0.375  0.841  0.518
O  0.402  0.880  0.963
O  0.473  0.473  0.301
O  0.500  0.000  0.500
O  0.527  0.527  0.699
O  0.598  0.120  0.037
O  0.625  0.159  0.482
O  0.634  0.634  0.242
O  0.707  0.293  0.000
O  0.731  0.731  0.768
O  0.841  0.375  0.518
O  0.880  0.402  0.963
O  0.980  0.980  0.340



No. 4
# Sm7Tm12Pb
Calculated powder X-ray diffraction pattern, Cu Ka. Input: the PBE geometry in Alexandria.
Neutral-atom scattering factors, no anomalous dispersion.

The 12 most intense peaks (2θ from 10° to 90°), by angle:
| 2θ (°) | I/Imax |
| --- | --- |
| 31.0 | 100 |
| 31.2 | 33 |
| 35.9 | 23 |
| 36.1 | 45 |
| 51.7 | 16 |
| 51.9 | 24 |
| 52.0 | 8 |
| 61.4 | 10 |
| 61.7 | 24 |
| 61.8 | 9 |
| 64.6 | 8 |
| 84.8 | 10 |

Structural model:
a b c (Å): 6.120 9.328 11.121
angles (deg): 83.35 79.75 89.82
Fractional positions:
Sm  0.000  0.000  0.000
Sm  0.208  0.802  0.399
Sm  0.243  0.251  0.752
Sm  0.399  0.599  0.798
Sm  0.601  0.401  0.202
Sm  0.757  0.749  0.248
Sm  0.792  0.198  0.601
Tm  0.053  0.450  0.354
Tm  0.094  0.903  0.698
Tm  0.150  0.351  0.055
Tm  0.300  0.700  0.097
Tm  0.348  0.151  0.451
Tm  0.451  0.051  0.152
Tm  0.549  0.949  0.848
Tm  0.652  0.849  0.549
Tm  0.700  0.300  0.903
Tm  0.850  0.649  0.945
Tm  0.906  0.097  0.302
Tm  0.947  0.550  0.646
Pb  0.500  0.500  0.500



No. 5
# Rb4ClO2
Calculated powder X-ray diffraction pattern, Cu Ka. Input: the PBE geometry in Alexandria.
Neutral-atom scattering factors, no anomalous dispersion.

The 12 most intense peaks (2θ from 10° to 90°), by angle:
| 2θ (°) | I/Imax |
| --- | --- |
| 11.6 | 34 |
| 23.3 | 12 |
| 26.4 | 22 |
| 27.0 | 100 |
| 28.0 | 15 |
| 33.3 | 52 |
| 35.2 | 21 |
| 35.3 | 15 |
| 41.6 | 15 |
| 43.2 | 24 |
| 43.7 | 12 |
| 55.6 | 19 |

Structural model:
a b c (Å): 8.551 8.551 7.191
angles (deg): 112.11 112.11 29.38
Fractional positions:
Rb  0.152  0.152  0.478
Rb  0.340  0.340  0.980
Rb  0.660  0.660  0.020
Rb  0.848  0.848  0.522
Cl  0.000  0.000  0.000
O  0.268  0.268  0.275
O  0.732  0.732  0.725



No. 6
# Tl2CdF4
Calculated powder X-ray diffraction pattern, Cu Ka. Input: the PBE geometry in Alexandria.
Neutral-atom scattering factors, no anomalous dispersion.

The 12 most intense peaks (2θ from 10° to 90°), by angle:
| 2θ (°) | I/Imax |
| --- | --- |
| 27.4 | 100 |
| 29.0 | 59 |
| 36.6 | 17 |
| 38.1 | 12 |
| 41.5 | 26 |
| 47.3 | 25 |
| 50.4 | 43 |
| 56.5 | 17 |
| 68.1 | 11 |
| 75.9 | 9 |
| 79.8 | 12 |
| 82.2 | 10 |

Structural model:
a b c (Å): 15.363 15.363 15.363
angles (deg): 156.87 156.87 32.94
Fractional positions:
Tl  0.048  0.298  0.750
Tl  0.202  0.452  0.750
Tl  0.298  0.048  0.250
Tl  0.452  0.202  0.250
Tl  0.548  0.798  0.750
Tl  0.702  0.952  0.750
Tl  0.798  0.548  0.250
Tl  0.952  0.702  0.250
Cd  0.125  0.875  0.250
Cd  0.375  0.625  0.750
Cd  0.625  0.375  0.250
Cd  0.875  0.125  0.750
F  0.048  0.798  0.250
F  0.055  0.805  0.610
F  0.195  0.305  0.250
F  0.202  0.952  0.250
F  0.298  0.548  0.750
F  0.305  0.555  0.110
F  0.445  0.055  0.750
F  0.452  0.702  0.750
F  0.548  0.298  0.250
F  0.555  0.945  0.250
F  0.695  0.445  0.890
F  0.702  0.452  0.250
F  0.798  0.048  0.750
F  0.805  0.695  0.750
F  0.945  0.195  0.390
F  0.952  0.202  0.750



No. 7
# NdSe2
Calculated powder X-ray diffraction pattern, Cu Ka. Input: the PBE geometry in Alexandria.
Neutral-atom scattering factors, no anomalous dispersion.

The 12 most intense peaks (2θ from 10° to 90°), by angle:
| 2θ (°) | I/Imax |
| --- | --- |
| 23.5 | 24 |
| 23.6 | 22 |
| 30.1 | 41 |
| 31.3 | 36 |
| 31.9 | 71 |
| 36.8 | 100 |
| 38.1 | 61 |
| 43.0 | 32 |
| 43.2 | 26 |
| 58.1 | 12 |
| 58.9 | 23 |
| 62.5 | 20 |

Structural model:
a b c (Å): 8.567 4.192 8.422
angles (deg): 90.00 90.13 90.00
Fractional positions:
Nd  0.225  0.225  0.374
Nd  0.225  0.275  0.874
Nd  0.775  0.725  0.126
Nd  0.775  0.775  0.626
Se  0.132  0.744  0.125
Se  0.132  0.756  0.625
Se  0.498  0.688  0.381
Se  0.498  0.812  0.881
Se  0.502  0.188  0.119
Se  0.502  0.312  0.619
Se  0.868  0.244  0.375
Se  0.868  0.256  0.875



No. 8
# VFe2N3
Calculated powder X-ray diffraction pattern, Cu Ka. Input: the PBE geometry in Alexandria.
Neutral-atom scattering factors, no anomalous dispersion.

The 12 most intense peaks (2θ from 10° to 90°), by angle:
| 2θ (°) | I/Imax |
| --- | --- |
| 33.8 | 68 |
| 34.1 | 20 |
| 36.5 | 66 |
| 38.6 | 100 |
| 38.9 | 68 |
| 50.6 | 28 |
| 60.3 | 15 |
| 60.9 | 30 |
| 67.1 | 31 |
| 67.3 | 19 |
| 73.2 | 23 |
| 74.1 | 15 |

Structural model:
a b c (Å): 5.298 5.298 4.921
angles (deg): 90.00 90.00 59.43
Fractional positions:
V  0.180  0.820  0.500
V  0.820  0.180  0.000
Fe  0.203  0.491  0.023
Fe  0.491  0.203  0.523
Fe  0.509  0.797  0.023
Fe  0.797  0.509  0.523
N  0.135  0.500  0.391
N  0.172  0.828  0.885
N  0.500  0.135  0.891
N  0.500  0.865  0.391
N  0.828  0.172  0.385
N  0.865  0.500  0.891



No. 9
# Y3SnRh
Calculated powder X-ray diffraction pattern, Cu Ka. Input: the PBE geometry in Alexandria.
Neutral-atom scattering factors, no anomalous dispersion.

The 12 most intense peaks (2θ from 10° to 90°), by angle:
| 2θ (°) | I/Imax |
| --- | --- |
| 24.7 | 44 |
| 28.6 | 27 |
| 32.2 | 72 |
| 33.8 | 60 |
| 34.0 | 53 |
| 34.8 | 100 |
| 36.0 | 42 |
| 39.1 | 60 |
| 44.6 | 24 |
| 55.7 | 22 |
| 67.4 | 22 |
| 70.2 | 23 |

Structural model:
a b c (Å): 8.577 8.577 7.612
angles (deg): 90.00 90.00 79.42
Fractional positions:
Y  0.028  0.692  0.407
Y  0.069  0.931  0.796
Y  0.192  0.528  0.907
Y  0.308  0.972  0.407
Y  0.431  0.569  0.296
Y  0.472  0.808  0.907
Y  0.528  0.192  0.093
Y  0.569  0.431  0.704
Y  0.692  0.028  0.593
Y  0.808  0.472  0.093
Y  0.931  0.069  0.204
Y  0.972  0.308  0.593
Sn  0.170  0.330  0.250
Sn  0.330  0.170  0.750
Sn  0.670  0.830  0.250
Sn  0.830  0.670  0.750
Rh  0.195  0.805  0.122
Rh  0.305  0.695  0.622
Rh  0.695  0.305  0.378
Rh  0.805  0.195  0.878



No. 10
# TmCd12Hg6
Calculated powder X-ray diffraction pattern, Cu Ka. Input: the PBE geometry in Alexandria.
Neutral-atom scattering factors, no anomalous dispersion.

The 12 most intense peaks (2θ from 10° to 90°), by angle:
| 2θ (°) | I/Imax |
| --- | --- |
| 23.4 | 19 |
| 34.2 | 88 |
| 34.7 | 43 |
| 36.5 | 100 |
| 37.6 | 25 |
| 43.3 | 10 |
| 46.9 | 13 |
| 54.8 | 10 |
| 59.0 | 15 |
| 60.7 | 9 |
| 62.7 | 12 |
| 63.9 | 19 |

Structural model:
a b c (Å): 7.979 7.979 7.979
angles (deg): 103.50 103.50 103.50
Fractional positions:
Tm  0.000  0.000  0.000
Cd  0.004  0.737  0.265
Cd  0.191  0.590  0.582
Cd  0.263  0.735  0.996
Cd  0.265  0.004  0.737
Cd  0.410  0.418  0.809
Cd  0.418  0.809  0.410
Cd  0.582  0.191  0.590
Cd  0.590  0.582  0.191
Cd  0.735  0.996  0.263
Cd  0.737  0.265  0.004
Cd  0.809  0.410  0.418
Cd  0.996  0.263  0.735
Hg  0.160  0.166  0.418
Hg  0.166  0.418  0.160
Hg  0.418  0.160  0.166
Hg  0.582  0.840  0.834
Hg  0.834  0.582  0.840
Hg  0.840  0.834  0.582



No. 11
# Y2PPt5
Calculated powder X-ray diffraction pattern, Cu Ka. Input: the PBE geometry in Alexandria.
Neutral-atom scattering factors, no anomalous dispersion.

The 12 most intense peaks (2θ from 10° to 90°), by angle:
| 2θ (°) | I/Imax |
| --- | --- |
| 18.4 | 13 |
| 20.2 | 14 |
| 30.9 | 8 |
| 36.2 | 6 |
| 37.2 | 100 |
| 41.1 | 18 |
| 44.3 | 32 |
| 62.0 | 22 |
| 64.4 | 10 |
| 72.3 | 15 |
| 76.8 | 24 |
| 79.3 | 11 |

Structural model:
a b c (Å): 6.006 6.006 6.006
angles (deg): 122.39 122.39 85.91
Fractional positions:
Y  0.000  0.500  0.500
Y  0.500  0.000  0.500
P  0.139  0.139  0.000
Pt  0.506  0.506  0.000
Pt  0.515  0.515  0.518
Pt  0.515  0.997  0.000
Pt  0.997  0.515  0.000
Pt  0.997  0.997  0.482



No. 12
# Er2MgMn
Calculated powder X-ray diffraction pattern, Cu Ka. Input: the PBE geometry in Alexandria.
Neutral-atom scattering factors, no anomalous dispersion.

The 12 most intense peaks (2θ from 10° to 90°), by angle:
| 2θ (°) | I/Imax |
| --- | --- |
| 11.0 | 28 |
| 22.1 | 24 |
| 25.7 | 44 |
| 34.2 | 100 |
| 36.7 | 49 |
| 42.6 | 21 |
| 43.3 | 17 |
| 52.9 | 17 |
| 59.5 | 11 |
| 64.5 | 31 |
| 69.9 | 9 |
| 70.2 | 10 |

Structural model:
a b c (Å): 3.462 3.462 8.050
angles (deg): 90.00 90.00 90.00
Fractional positions:
Er  0.000  0.000  0.214
Er  0.000  0.000  0.786
Mg  0.500  0.500  0.500
Mn  0.500  0.500  0.000